Record 1
K2LiPrCl6: theoretical powder XRD pattern (Cu Kα (weighted mean of Kα1 and Kα2)), based on a crystal structure in the Materials Project, relaxed with PBE.
Neutral-atom scattering factors, no anomalous dispersion.

Largest 10 diffraction maxima, in order of rising 2θ, 10° ≤ 2θ ≤ 80°:
2θ 14.5, rel. 81.9
2θ 16.7, rel. 57.0
2θ 23.7, rel. 62.2
2θ 27.9, rel. 66.6
2θ 29.1, rel. 24.6
2θ 33.8, rel. 100.0
2θ 36.9, rel. 38.2
2θ 37.9, rel. 27.5
2θ 41.7, rel. 28.0
2θ 48.5, rel. 64.9

Cell lengths 7.506, 7.506, 7.506 Å; angles 60.00, 60.00, 60.00 degrees
Sites, in units of the cell vectors:
K1 0.250 0.250 0.250
K2 0.750 0.750 0.750
Li1 0.000 0.000 0.000
Pr1 0.500 0.500 0.500
Cl1 0.242 0.242 0.758
Cl2 0.242 0.758 0.242
Cl3 0.242 0.758 0.758
Cl4 0.758 0.242 0.242
Cl5 0.758 0.242 0.758
Cl6 0.758 0.758 0.242



Record 2
Y4C7: theoretical powder XRD pattern (Cu Kα (weighted mean of Kα1 and Kα2)), based on a crystal structure in the Materials Project, relaxed with PBE.
Neutral-atom scattering factors, no anomalous dispersion.

Largest 10 diffraction maxima, in order of rising 2θ, 10° ≤ 2θ ≤ 80°:
2θ 27.0, rel. 22.1
2θ 28.2, rel. 17.2
2θ 29.0, rel. 15.5
2θ 29.7, rel. 100.0
2θ 30.1, rel. 23.2
2θ 32.3, rel. 13.2
2θ 33.5, rel. 28.4
2θ 33.7, rel. 54.4
2θ 36.0, rel. 17.2
2θ 61.6, rel. 15.1

Cell lengths 3.716, 12.639, 13.850 Å; angles 90.00, 98.71, 90.00 degrees
Sites, in units of the cell vectors:
Y1 0.122 0.040 0.382
Y2 0.122 0.460 0.882
Y3 0.134 0.195 0.789
Y4 0.134 0.305 0.289
Y5 0.263 0.737 0.494
Y6 0.263 0.763 0.994
Y7 0.303 0.015 0.108
Y8 0.303 0.485 0.608
Y9 0.697 0.515 0.392
Y10 0.697 0.985 0.892
Y11 0.737 0.237 0.006
Y12 0.737 0.263 0.506
Y13 0.866 0.695 0.711
Y14 0.866 0.805 0.211
Y15 0.878 0.540 0.118
Y16 0.878 0.960 0.618
C1 0.165 0.641 0.326
C2 0.165 0.859 0.826
C3 0.213 0.116 0.949
C4 0.213 0.384 0.449
C5 0.251 0.111 0.546
C6 0.251 0.389 0.046
C7 0.301 0.652 0.244
C8 0.301 0.848 0.744
C9 0.374 0.671 0.153
C10 0.374 0.829 0.653
C11 0.408 0.584 0.773
C12 0.408 0.916 0.273
C13 0.418 0.105 0.638
C14 0.418 0.395 0.138
C15 0.582 0.605 0.862
C16 0.582 0.895 0.362
C17 0.592 0.084 0.727
C18 0.592 0.416 0.227
C19 0.626 0.171 0.347
C20 0.626 0.329 0.847
C21 0.699 0.152 0.256
C22 0.699 0.348 0.756
C23 0.749 0.611 0.954
C24 0.749 0.889 0.454
C25 0.787 0.616 0.551
C26 0.787 0.884 0.051
C27 0.835 0.141 0.174
C28 0.835 0.359 0.674



Record 3
Tb3AlNi8: theoretical powder XRD pattern (Cu Kα (weighted mean of Kα1 and Kα2)), based on a crystal structure in the Materials Project, relaxed with PBE.
Neutral-atom scattering factors, no anomalous dispersion.

Largest 10 diffraction maxima, in order of rising 2θ, 10° ≤ 2θ ≤ 80°:
2θ 34.6, rel. 96.8
2θ 35.4, rel. 60.6
2θ 41.1, rel. 22.2
2θ 41.5, rel. 48.9
2θ 42.1, rel. 100.0
2θ 44.6, rel. 48.0
2θ 63.0, rel. 32.9
2θ 68.1, rel. 22.9
2θ 69.3, rel. 20.3
2θ 74.8, rel. 26.6

Cell lengths 5.077, 5.077, 16.035 Å; angles 90.00, 90.00, 120.00 degrees
Sites, in units of the cell vectors:
Tb1 0.333 0.667 0.045
Tb2 0.333 0.667 0.250
Tb3 0.333 0.667 0.455
Tb4 0.667 0.333 0.545
Tb5 0.667 0.333 0.750
Tb6 0.667 0.333 0.955
Al1 0.000 0.000 0.000
Al2 0.000 0.000 0.500
Ni1 0.000 0.000 0.250
Ni2 0.000 0.000 0.750
Ni3 0.169 0.338 0.626
Ni4 0.169 0.338 0.874
Ni5 0.169 0.831 0.626
Ni6 0.169 0.831 0.874
Ni7 0.333 0.667 0.750
Ni8 0.338 0.169 0.126
Ni9 0.338 0.169 0.374
Ni10 0.662 0.831 0.626
Ni11 0.662 0.831 0.874
Ni12 0.667 0.333 0.250
Ni13 0.831 0.169 0.126
Ni14 0.831 0.169 0.374
Ni15 0.831 0.662 0.126
Ni16 0.831 0.662 0.374



Record 4
ThRh: theoretical powder XRD pattern (Cu Kα (weighted mean of Kα1 and Kα2)), based on a crystal structure in the Materials Project, relaxed with PBE.
Neutral-atom scattering factors, no anomalous dispersion.

Largest 10 diffraction maxima, in order of rising 2θ, 10° ≤ 2θ ≤ 80°:
2θ 26.3, rel. 22.4
2θ 31.1, rel. 46.5
2θ 32.3, rel. 100.0
2θ 32.7, rel. 22.1
2θ 39.3, rel. 55.5
2θ 43.2, rel. 23.2
2θ 46.5, rel. 18.8
2θ 51.0, rel. 21.2
2θ 54.2, rel. 26.8
2θ 57.0, rel. 17.1

Cell lengths 6.071, 6.071, 4.188 Å; angles 90.00, 90.00, 142.50 degrees
Sites, in units of the cell vectors:
Th1 0.136 0.864 0.750
Th2 0.864 0.136 0.250
Rh1 0.401 0.599 0.750
Rh2 0.599 0.401 0.250